Structure and computed powder X-ray diffraction pattern of Tl2H3F6 (a structure optimized by DFT (PBE); Cu Kα).

Structural model:
Cell lengths 12.7585, 7.1718, 10.4982 Å; angles 90.00, 113.85, 90.00 degrees
Space group C2/c (No. 15)
One atom of each set of equivalent atoms:
Tl 0.0932 0.2495 0.0248
H 0.0000 0.0320 0.2500
H 0.1380 0.3876 0.7495
F 0.0061 0.0301 0.3625
F 0.0829 0.4348 0.6367
F 0.1911 0.3395 0.8615

Peak list (12 most intense, 10 to 90 degrees two-theta, most intense first)
Position (°2θ), Rel. int., hkl
30.72, 1000, 3 1 -3
18.79, 708, 1 1 1
18.48, 633, 0 0 2
24.33, 629, 3 1 -1
15.45, 603, 1 1 -1
31.15, 597, 0 2 2
18.59, 337, 2 0 -2
24.83, 304, 0 2 0
15.18, 285, 2 0 0
45.18, 280, 3 1 -5
47.57, 249, 3 3 1
43.42, 232, 3 3 -1


Structure and computed powder X-ray diffraction pattern of La3HoTe6 (a structure optimized by DFT (PBE); Cu Kα).

Structural model:
Cell lengths 14.0525, 14.0525, 13.1607 Å; angles 90.00, 90.00, 120.00 degrees
Space group R-3 (No. 148, hexagonal axes)
One atom of each set of equivalent atoms:
La 0.0491 0.4399 0.3192
Ho 0.0000 0.0000 0.0000
Ho 0.0000 0.0000 0.5000
Te 0.0353 0.2066 0.3891
Te 0.0506 0.2049 0.8826

Peak list (12 most intense, 10 to 90 degrees two-theta, most intense first)
Position (°2θ), Rel. int., hkl
33.49, 1000, 2 1 4
33.75, 883, 1 4 0
29.75, 881, 3 1 2
20.45, 447, 2 1 1
43.63, 268, 6 -5 2
15.31, 237, 0 1 2
63.90, 207, 5 2 6
19.87, 205, 2 0 2
48.96, 192, 4 -2 6
47.49, 182, 7 -4 2
61.12, 180, 4 5 2
48.28, 178, 6 -4 4


Structure and computed powder X-ray diffraction pattern of TlSiPb2O4 (a structure optimized by DFT (PBE); Cu Kα).

Structural model:
Cell lengths 6.5889, 8.9452, 9.9398 Å; angles 90.00, 90.00, 90.00 degrees
Space group Fmm2 (No. 42)
One atom of each set of equivalent atoms:
Tl 0.0000 0.0000 0.0000
Si 0.0000 0.0000 0.4397
Pb 0.2500 0.2500 0.2171
O 0.0000 0.1543 0.5309
O 0.2077 0.0000 0.3409

Peak list (12 most intense, 10 to 90 degrees two-theta, most intense first)
Position (°2θ), Rel. int., hkl
26.82, 1000, 0 2 2
32.61, 703, 2 0 2
33.79, 530, 2 2 0
50.31, 361, 2 2 4
52.79, 320, 2 4 2
18.96, 257, 1 1 1
36.15, 193, 0 0 4
40.33, 193, 0 4 0
62.97, 193, 4 2 2
34.22, 117, 1 3 1
55.26, 114, 0 4 4
31.84, 113, 1 1 3


Structure and computed powder X-ray diffraction pattern of Na2NpO5 (a structure optimized by DFT (PBE); Cu Kα).

Structural model:
Cell lengths 10.8109, 7.0317, 5.8353 Å; angles 90.00, 90.00, 90.00 degrees
Space group Pnma (No. 62)
One atom of each set of equivalent atoms:
Na 0.1743 0.0032 0.0012
Np 0.0380 0.7500 0.4594
O 0.0444 0.2500 0.8261
O 0.0947 0.0641 0.3983
O 0.1287 0.7500 0.7373
O 0.1985 0.7500 0.2920

Peak list (12 most intense, 10 to 90 degrees two-theta, most intense first)
Position (°2θ), Rel. int., hkl
17.27, 1000, 1 0 1
30.82, 528, 1 2 1
16.40, 444, 2 0 0
30.33, 292, 2 2 0
29.12, 259, 3 0 1
31.84, 215, 3 1 1
25.33, 198, 0 2 0
43.65, 190, 2 2 2
20.73, 181, 2 1 0
46.62, 162, 5 1 1
30.64, 135, 0 0 2
47.66, 127, 4 1 2